The following is a simulated XRD peak list of Rb2BaNaF5. It was derived from a cell relaxed with PBE, using Cu Kα X-rays.
Kinematic intensities with the Lorentz-polarization factor, no thermal factor.

The 12 most intense peaks (15° ≤ 2θ ≤ 90°), by angle:
2θ 22.74, intensity 17, hkl 1 0 1
2θ 24.37, intensity 47, hkl 0 1 3
2θ 28.33, intensity 27, hkl 0 2 0
2θ 29.24, intensity 100, hkl 1 1 2
2θ 36.63, intensity 39, hkl 1 2 1
2θ 39.19, intensity 28, hkl 0 2 4
2θ 40.14, intensity 37, hkl 1 0 5
2θ 44.33, intensity 18, hkl 2 0 0
2θ 49.89, intensity 25, hkl 1 2 5
2θ 50.72, intensity 22, hkl 1 3 2
2θ 60.64, intensity 14, hkl 2 2 4
2θ 61.43, intensity 13, hkl 1 1 8

Atomic structure:
```
data_Rb2BaNaF5
_cell_length_a 4.0865
_cell_length_b 6.3008
_cell_length_c 13.4455
_cell_angle_alpha 90.00
_cell_angle_beta 90.00
_cell_angle_gamma 90.00
_symmetry_space_group_name_H-M 'I m m m'
_symmetry_Int_Tables_number 71
_symmetry_space_group_name_Hall '-I 2 2'
loop_
_atom_site_label
_atom_site_type_symbol
_atom_site_fract_x
_atom_site_fract_y
_atom_site_fract_z
_atom_site_occupancy
Rb1 Rb 0.0000 0.0000 0.2019 1
Ba1 Ba 0.0000 0.5000 0.0000 1
Na1 Na 0.0000 0.5000 0.5000 1
F1 F 0.0000 0.0000 0.0000 1
F2 F 0.0000 0.2207 0.3839 1
```

=====

The following is a simulated XRD peak list of Sm3Y3Cd. It was derived from a cell relaxed with PBE, using Cu Kα X-rays.
Kinematic intensities with the Lorentz-polarization factor, no thermal factor.

The 12 most intense peaks (15° ≤ 2θ ≤ 90°), by angle:
2θ 28.68, intensity 26, hkl 3 0 -2
2θ 31.98, intensity 24, hkl 0 2 0
2θ 32.92, intensity 100, hkl 1 1 -3
2θ 43.48, intensity 16, hkl 3 2 -2
2θ 50.80, intensity 18, hkl 1 0 4
2θ 57.59, intensity 20, hkl 1 3 -3
2θ 61.30, intensity 21, hkl 1 2 4
2θ 61.87, intensity 15, hkl 6 1 -4
2θ 69.04, intensity 4, hkl 2 2 -6
2θ 80.33, intensity 7, hkl 6 3 -4
2θ 84.06, intensity 12, hkl 5 1 -8
2θ 88.56, intensity 8, hkl 1 4 4

Atomic structure:
```
data_Sm3Y3Cd
_cell_length_a 9.5062
_cell_length_b 5.5980
_cell_length_c 9.5121
_cell_angle_alpha 90.00
_cell_angle_beta 119.98
_cell_angle_gamma 90.00
_symmetry_space_group_name_H-M 'P 1 21/m 1'
_symmetry_Int_Tables_number 11
_symmetry_space_group_name_Hall '-P 2yb'
loop_
_atom_site_label
_atom_site_type_symbol
_atom_site_fract_x
_atom_site_fract_y
_atom_site_fract_z
_atom_site_occupancy
Sm1 Sm 0.0214 0.2500 0.1286 1
Sm2 Sm 0.1287 0.7500 0.6076 1
Sm3 Sm 0.3927 0.7500 0.0216 1
Y1 Y 0.2583 0.7500 0.3202 1
Y2 Y 0.3200 0.2500 0.5615 1
Y3 Y 0.4386 0.2500 0.2586 1
Cd1 Cd 0.1668 0.2500 0.8335 1
```

=====

The following is a simulated XRD peak list of CeTl2AgCl6. It was derived from a cell relaxed with PBE, using Cu Kα X-rays.
Kinematic intensities with the Lorentz-polarization factor, no thermal factor.

The 12 most intense peaks (15° ≤ 2θ ≤ 90°), by angle:
2θ 22.83, intensity 39, hkl 0 2 0
2θ 23.39, intensity 99, hkl 1 1 1
2θ 23.72, intensity 100, hkl 1 1 -3
2θ 23.97, intensity 48, hkl 2 0 -2
2θ 24.34, intensity 21, hkl 0 2 1
2θ 33.34, intensity 53, hkl 2 2 -2
2θ 33.77, intensity 41, hkl 0 0 4
2θ 34.27, intensity 29, hkl 0 2 3
2θ 37.61, intensity 19, hkl 1 3 0
2θ 41.16, intensity 23, hkl 0 2 4
2θ 41.61, intensity 30, hkl 3 1 -1
2θ 42.22, intensity 46, hkl 3 1 -5

Atomic structure:
```
data_CeTl2AgCl6
_cell_length_a 7.4264
_cell_length_b 7.7897
_cell_length_c 12.8399
_cell_angle_alpha 90.00
_cell_angle_beta 124.23
_cell_angle_gamma 90.00
_symmetry_space_group_name_H-M 'P 1 21/c 1'
_symmetry_Int_Tables_number 14
_symmetry_space_group_name_Hall '-P 2ybc'
loop_
_atom_site_label
_atom_site_type_symbol
_atom_site_fract_x
_atom_site_fract_y
_atom_site_fract_z
_atom_site_occupancy
Ce1 Ce 0.0000 0.0000 0.0000 1
Tl1 Tl 0.2769 0.0697 0.7538 1
Ag1 Ag 0.5000 0.0000 0.5000 1
Cl1 Cl 0.1505 0.0255 0.2516 1
Cl2 Cl 0.2440 0.7049 0.0503 1
Cl3 Cl 0.3499 0.1962 0.0482 1
```

=====

The following is a simulated XRD peak list of La2TaCrOs. It was derived from a cell relaxed with PBE, using Cu Kα X-rays.
Kinematic intensities with the Lorentz-polarization factor, no thermal factor.

The 12 most intense peaks (15° ≤ 2θ ≤ 90°), by angle:
2θ 24.83, intensity 6, hkl 1 1 0
2θ 31.55, intensity 100, hkl 1 1 1
2θ 35.40, intensity 52, hkl 2 0 0
2θ 38.87, intensity 20, hkl 0 0 2
2θ 50.92, intensity 18, hkl 2 2 0
2θ 53.58, intensity 32, hkl 2 0 2
2θ 61.15, intensity 31, hkl 3 1 1
2θ 65.86, intensity 29, hkl 2 2 2
2θ 74.89, intensity 6, hkl 4 0 0
2θ 83.50, intensity 9, hkl 0 0 4
2θ 85.65, intensity 8, hkl 4 2 0
2θ 87.74, intensity 20, hkl 4 0 2

Atomic structure:
```
data_La2TaCrOs
_cell_length_a 5.0719
_cell_length_b 5.0719
_cell_length_c 4.6333
_cell_angle_alpha 90.00
_cell_angle_beta 90.00
_cell_angle_gamma 90.00
_symmetry_space_group_name_H-M 'P 4/m m m'
_symmetry_Int_Tables_number 123
_symmetry_space_group_name_Hall '-P 4 2'
loop_
_atom_site_label
_atom_site_type_symbol
_atom_site_fract_x
_atom_site_fract_y
_atom_site_fract_z
_atom_site_occupancy
La1 La 0.0000 0.5000 0.0000 1
Ta1 Ta 0.0000 0.0000 0.5000 1
Cr1 Cr 0.0000 0.0000 0.0000 1
Os1 Os 0.5000 0.5000 0.5000 1
```

=====

The following is a simulated XRD peak list of Tb5Nd6Y. It was derived from a cell relaxed with PBE, using Cu Kα X-rays.
Kinematic intensities with the Lorentz-polarization factor, no thermal factor.

The 12 most intense peaks (15° ≤ 2θ ≤ 90°), by angle:
2θ 30.22, intensity 100, hkl 1 2 3
2θ 34.95, intensity 34, hkl 2 0 0
2θ 35.20, intensity 17, hkl 0 4 0
2θ 50.27, intensity 12, hkl 2 0 6
2θ 50.45, intensity 24, hkl 2 4 0
2θ 59.78, intensity 29, hkl 3 2 3
2θ 60.10, intensity 14, hkl 1 6 3
2θ 62.84, intensity 12, hkl 2 4 6
2θ 81.80, intensity 6, hkl 3 2 9
2θ 82.09, intensity 12, hkl 3 6 3
2θ 84.37, intensity 5, hkl 4 0 6
2θ 84.93, intensity 5, hkl 2 8 0

Atomic structure:
```
data_Tb5Nd6Y
_cell_length_a 5.1376
_cell_length_b 10.1994
_cell_length_c 15.3913
_cell_angle_alpha 90.00
_cell_angle_beta 90.00
_cell_angle_gamma 90.00
_symmetry_space_group_name_H-M 'I m m m'
_symmetry_Int_Tables_number 71
_symmetry_space_group_name_Hall '-I 2 2'
loop_
_atom_site_label
_atom_site_type_symbol
_atom_site_fract_x
_atom_site_fract_y
_atom_site_fract_z
_atom_site_occupancy
Tb1 Tb 0.0000 0.0000 0.0000 1
Tb2 Tb 0.0000 0.0000 0.3332 1
Tb3 Tb 0.0000 0.5000 0.3331 1
Nd1 Nd 0.0000 0.2497 0.1669 1
Nd2 Nd 0.0000 0.2507 0.5000 1
Y1 Y 0.0000 0.5000 0.0000 1
```

=====

The following is a simulated XRD peak list of LaAl2SiPd. It was derived from a cell relaxed with PBE, using Cu Kα X-rays.
Kinematic intensities with the Lorentz-polarization factor, no thermal factor.

The 12 most intense peaks (15° ≤ 2θ ≤ 90°), by angle:
2θ 22.29, intensity 31, hkl 0 1 1
2θ 23.07, intensity 25, hkl 1 0 1
2θ 32.20, intensity 23, hkl 0 1 3
2θ 32.72, intensity 46, hkl 0 0 4
2θ 34.36, intensity 100, hkl 1 1 2
2θ 42.22, intensity 19, hkl 0 2 0
2θ 43.97, intensity 17, hkl 2 0 0
2θ 46.52, intensity 14, hkl 0 1 5
2θ 54.42, intensity 22, hkl 0 2 4
2θ 59.38, intensity 16, hkl 1 1 6
2θ 62.60, intensity 12, hkl 2 2 0
2θ 72.14, intensity 11, hkl 1 3 2

Atomic structure:
```
data_LaAl2SiPd
_cell_length_a 4.1181
_cell_length_b 4.2812
_cell_length_c 10.9671
_cell_angle_alpha 90.00
_cell_angle_beta 90.00
_cell_angle_gamma 90.00
_symmetry_space_group_name_H-M 'I m m 2'
_symmetry_Int_Tables_number 44
_symmetry_space_group_name_Hall 'I 2 -2'
loop_
_atom_site_label
_atom_site_type_symbol
_atom_site_fract_x
_atom_site_fract_y
_atom_site_fract_z
_atom_site_occupancy
La1 La 0.0000 0.0000 0.0000 1
Al1 Al 0.0000 0.0000 0.3808 1
Al2 Al 0.0000 0.5000 0.2457 1
Si1 Si 0.0000 0.0000 0.6103 1
Pd1 Pd 0.0000 0.5000 0.7410 1
```

=====

The following is a simulated XRD peak list of Pu6TcRh3. It was derived from a cell relaxed with PBE, using Cu Kα X-rays.
Kinematic intensities with the Lorentz-polarization factor, no thermal factor.

The 12 most intense peaks (15° ≤ 2θ ≤ 90°), by angle:
2θ 19.08, intensity 33, hkl 1 0 1
2θ 34.16, intensity 17, hkl 1 1 2
2θ 35.81, intensity 20, hkl 2 0 0
2θ 36.56, intensity 100, hkl 2 0 1
2θ 37.90, intensity 23, hkl 1 1 3
2θ 40.46, intensity 39, hkl 1 0 5
2θ 42.66, intensity 23, hkl 1 1 4
2θ 43.63, intensity 18, hkl 0 0 6
2θ 50.33, intensity 20, hkl 2 1 2
2θ 51.75, intensity 20, hkl 2 0 5
2θ 56.88, intensity 15, hkl 2 1 4
2θ 66.87, intensity 14, hkl 2 1 6

Atomic structure:
```
data_Pu6TcRh3
_cell_length_a 5.7903
_cell_length_b 5.7903
_cell_length_c 12.4461
_cell_angle_alpha 90.00
_cell_angle_beta 90.00
_cell_angle_gamma 120.00
_symmetry_space_group_name_H-M 'P 63 2 2'
_symmetry_Int_Tables_number 182
_symmetry_space_group_name_Hall 'P 6c 2c'
loop_
_atom_site_label
_atom_site_type_symbol
_atom_site_fract_x
_atom_site_fract_y
_atom_site_fract_z
_atom_site_occupancy
Pu1 Pu 0.1376 0.3691 0.3409 1
Tc1 Tc 0.3333 0.6667 0.7500 1
Rh1 Rh 0.0000 0.0000 0.0000 1
Rh2 Rh 0.3333 0.6667 0.5437 1
```

=====

The following is a simulated XRD peak list of K3LaBr8. It was derived from a cell relaxed with PBE, using Cu Kα X-rays.
Kinematic intensities with the Lorentz-polarization factor, no thermal factor.

The 12 most intense peaks (15° ≤ 2θ ≤ 90°), by angle:
2θ 20.09, intensity 31, hkl 1 1 2
2θ 21.97, intensity 13, hkl 0 0 4
2θ 23.85, intensity 21, hkl 2 0 0
2θ 32.65, intensity 100, hkl 2 0 4
2θ 33.98, intensity 45, hkl 2 2 0
2θ 39.79, intensity 10, hkl 3 1 2
2θ 40.84, intensity 9, hkl 2 2 4
2θ 44.80, intensity 9, hkl 0 0 8
2θ 48.82, intensity 15, hkl 4 0 0
2θ 57.40, intensity 16, hkl 2 2 8
2θ 59.97, intensity 30, hkl 4 2 4
2θ 68.41, intensity 9, hkl 4 0 8

Atomic structure:
```
data_K3LaBr8
_cell_length_a 7.4616
_cell_length_b 7.4616
_cell_length_c 16.1841
_cell_angle_alpha 90.00
_cell_angle_beta 90.00
_cell_angle_gamma 90.00
_symmetry_space_group_name_H-M 'I 4/m m m'
_symmetry_Int_Tables_number 139
_symmetry_space_group_name_Hall '-I 4 2'
loop_
_atom_site_label
_atom_site_type_symbol
_atom_site_fract_x
_atom_site_fract_y
_atom_site_fract_z
_atom_site_occupancy
K1 K 0.0000 0.0000 0.0000 1
K2 K 0.0000 0.5000 0.2500 1
La1 La 0.0000 0.0000 0.5000 1
Br1 Br 0.2336 0.2336 0.3851 1
```

=====

The following is a simulated XRD peak list of Pm4Sm5Cd2. It was derived from a cell relaxed with PBE, using Cu Kα X-rays.
Kinematic intensities with the Lorentz-polarization factor, no thermal factor.

The 12 most intense peaks (15° ≤ 2θ ≤ 90°), by angle:
2θ 29.77, intensity 20, hkl 0 1 2
2θ 31.18, intensity 100, hkl 3 0 -1
2θ 31.90, intensity 35, hkl 1 1 2
2θ 32.41, intensity 59, hkl 2 0 3
2θ 32.45, intensity 53, hkl 1 0 -4
2θ 32.61, intensity 24, hkl 2 1 0
2θ 33.93, intensity 35, hkl 2 1 1
2θ 34.72, intensity 20, hkl 0 1 3
2θ 35.67, intensity 27, hkl 2 1 -2
2θ 49.44, intensity 19, hkl 1 1 5
2θ 50.35, intensity 26, hkl 4 1 1
2θ 62.38, intensity 38, hkl 2 2 3

Atomic structure:
```
data_Pm4Sm5Cd2
_cell_length_a 8.7446
_cell_length_b 3.5349
_cell_length_c 11.3875
_cell_angle_alpha 90.00
_cell_angle_beta 94.11
_cell_angle_gamma 90.00
_symmetry_space_group_name_H-M 'P 1 2/m 1'
_symmetry_Int_Tables_number 10
_symmetry_space_group_name_Hall '-P 2y'
loop_
_atom_site_label
_atom_site_type_symbol
_atom_site_fract_x
_atom_site_fract_y
_atom_site_fract_z
_atom_site_occupancy
Pm1 Pm 0.1471 0.0000 0.3789 1
Pm2 Pm 0.2669 0.0000 0.9522 1
Sm1 Sm 0.2036 0.5000 0.6663 1
Sm2 Sm 0.4365 0.5000 0.2023 1
Sm3 Sm 0.5000 0.5000 0.5000 1
Cd1 Cd 0.0557 0.5000 0.1327 1
```

=====

The following is a simulated XRD peak list of Tm3Sb2Se. It was derived from a cell relaxed with PBE, using Cu Kα X-rays.
Kinematic intensities with the Lorentz-polarization factor, no thermal factor.

The 12 most intense peaks (15° ≤ 2θ ≤ 90°), by angle:
2θ 25.75, intensity 9, hkl 0 2 6
2θ 29.81, intensity 100, hkl 0 4 0
2θ 42.67, intensity 75, hkl 2 4 6
2θ 50.50, intensity 5, hkl 0 6 6
2θ 52.92, intensity 27, hkl 0 4 12
2θ 61.93, intensity 12, hkl 0 8 0
2θ 68.19, intensity 2, hkl 0 2 18
2θ 70.22, intensity 28, hkl 2 8 6
2θ 70.30, intensity 6, hkl 6 0 6
2θ 78.09, intensity 17, hkl 0 8 12
2θ 78.18, intensity 8, hkl 6 4 6
2θ 83.85, intensity 1, hkl 0 10 6

Atomic structure:
```
data_Tm3Sb2Se
_cell_length_a 8.4678
_cell_length_b 11.9939
_cell_length_c 25.4386
_cell_angle_alpha 90.00
_cell_angle_beta 90.00
_cell_angle_gamma 90.00
_symmetry_space_group_name_H-M 'F d d d'
_symmetry_Int_Tables_number 70
loop_
_symmetry_equiv_pos_as_xyz
'x,y,z'
'-x,-y,-z'
'-x+1/4,-y+1/4,z'
'x+1/4,y+1/4,-z'
'x,-y+1/4,-z+1/4'
'-x,y+1/4,z+1/4'
'-x+1/4,y,-z+1/4'
'x+1/4,-y,z+1/4'
'x,y+1/2,z+1/2'
'-x,-y+1/2,-z+1/2'
'-x+1/4,-y+3/4,z+1/2'
'x+1/4,y+3/4,-z+1/2'
'x,-y+3/4,-z+3/4'
'-x,y+3/4,z+3/4'
'-x+1/4,y+1/2,-z+3/4'
'x+1/4,-y+1/2,z+3/4'
'x+1/2,y,z+1/2'
'-x+1/2,-y,-z+1/2'
'-x+3/4,-y+1/4,z+1/2'
'x+3/4,y+1/4,-z+1/2'
'x+1/2,-y+1/4,-z+3/4'
'-x+1/2,y+1/4,z+3/4'
'-x+3/4,y,-z+3/4'
'x+3/4,-y,z+3/4'
'x+1/2,y+1/2,z'
'-x+1/2,-y+1/2,-z'
'-x+3/4,-y+3/4,z'
'x+3/4,y+3/4,-z'
'x+1/2,-y+3/4,-z+1/4'
'-x+1/2,y+3/4,z+1/4'
'-x+3/4,y+1/2,-z+1/4'
'x+3/4,-y+1/2,z+1/4'
loop_
_atom_site_label
_atom_site_type_symbol
_atom_site_fract_x
_atom_site_fract_y
_atom_site_fract_z
_atom_site_occupancy
Tm1 Tm 0.1163 0.3750 0.3750 1
Tm2 Tm 0.1215 0.3724 0.2099 1
Sb1 Sb 0.1250 0.1250 0.3757 1
Sb2 Sb 0.1250 0.1250 0.5427 1
Se1 Se 0.1250 0.1250 0.0417 1
```

=====

The following is a simulated XRD peak list of Ho4PdPt5. It was derived from a cell relaxed with PBE, using Cu Kα X-rays.
Kinematic intensities with the Lorentz-polarization factor, no thermal factor.

The 12 most intense peaks (15° ≤ 2θ ≤ 90°), by angle:
2θ 32.28, intensity 19, hkl 0 0 2
2θ 34.02, intensity 92, hkl 5 1 0
2θ 35.74, intensity 20, hkl 2 0 2
2θ 35.87, intensity 53, hkl 5 1 -1
2θ 38.92, intensity 14, hkl 6 0 1
2θ 39.43, intensity 62, hkl 1 1 2
2θ 39.69, intensity 100, hkl 3 1 -2
2θ 40.76, intensity 61, hkl 0 2 0
2θ 44.71, intensity 15, hkl 8 0 -1
2θ 66.66, intensity 20, hkl 2 0 -4
2θ 73.47, intensity 17, hkl 3 3 -2
2θ 81.15, intensity 15, hkl 2 2 -4

Atomic structure:
```
data_Ho4PdPt5
_cell_length_a 16.5951
_cell_length_b 4.4274
_cell_length_c 5.6142
_cell_angle_alpha 90.00
_cell_angle_beta 98.86
_cell_angle_gamma 90.00
_symmetry_space_group_name_H-M 'C 1 2/m 1'
_symmetry_Int_Tables_number 12
_symmetry_space_group_name_Hall '-C 2y'
loop_
_atom_site_label
_atom_site_type_symbol
_atom_site_fract_x
_atom_site_fract_y
_atom_site_fract_z
_atom_site_occupancy
Ho1 Ho 0.1100 0.0000 0.2946 1
Ho2 Ho 0.1715 0.5000 0.8259 1
Pd1 Pd 0.0000 0.5000 0.5000 1
Pt1 Pt 0.0000 0.5000 0.0000 1
Pt2 Pt 0.0622 0.0000 0.7738 1
Pt3 Pt 0.2317 0.5000 0.3378 1
```